[1]
Calculated X-ray powder pattern of Ba2MgFe4O8 for Cu Kα (weighted mean of Kα1 and Kα2), from a cell relaxed with GGA+U.

Main lines, sorted by position (10° ≤ 2θ ≤ 90°):
two_theta  I (rel.)
26.53  100.0
31.94  72.8
41.99  28.8
51.01  18.9
53.71  27.7
56.93  20.7

Atomic structure:
Unit cell a=5.6033 b=5.6033 c=9.3114 alpha=90.00 beta=90.00 gamma=120.00
Space group P312 (No. 149)
Inequivalent atoms, fractional coordinates:
Ba  0.0000  0.0000  0.0000 [1 per cell]
Ba  0.0000  0.0000  0.5000 [1 per cell]
Mg  0.6667  0.3333  0.0000 [1 per cell]
Fe  0.3333  0.6667  0.2043 [2 per cell]
Fe  0.6667  0.3333  0.2995 [2 per cell]
O  0.0031  0.3347  0.7466 [6 per cell]
O  0.3333  0.6667  0.0000 [1 per cell]
O  0.6667  0.3333  0.5000 [1 per cell]

[2]
Calculated X-ray powder pattern of MgCr2Ge4O12 for Cu Kα (weighted mean of Kα1 and Kα2), from a cell relaxed with GGA+U.

Main lines, sorted by position (10° ≤ 2θ ≤ 90°):
two_theta  I (rel.)
26.71  25.6
28.54  100.0
29.69  44.7
35.18  36.6
36.39  22.5
54.08  38.1

Atomic structure:
Unit cell a=10.3769 b=8.8238 c=5.5132 alpha=90.00 beta=112.26 gamma=90.00
Space group C2 (No. 5)
Inequivalent atoms, fractional coordinates:
Mg  0.0000  0.0000  0.0000 [2 per cell]
Cr  0.0000  0.6329  0.0000 [2 per cell]
Cr  0.0000  0.8108  0.5000 [2 per cell]
Ge  0.2047  0.3199  0.9856 [4 per cell]
Ge  0.2133  0.1271  0.5050 [4 per cell]
O  0.1038  0.6449  0.3939 [4 per cell]
O  0.1072  0.8154  0.8989 [4 per cell]
O  0.1180  0.9589  0.4089 [4 per cell]
O  0.1378  0.2544  0.6609 [4 per cell]
O  0.1433  0.1858  0.1594 [4 per cell]
O  0.1580  0.5040  0.0240 [4 per cell]

[3]
Calculated X-ray powder pattern of PbWO4 for Cu Kα (weighted mean of Kα1 and Kα2), from a cell relaxed with GGA+U.

Main lines, sorted by position (10° ≤ 2θ ≤ 90°):
two_theta  I (rel.)
26.54  100.0
28.61  80.2
30.10  30.4
30.42  22.0
43.33  24.1
47.17  19.6

Atomic structure:
Unit cell a=7.4487 b=11.7537 c=5.1336 alpha=90.00 beta=127.15 gamma=90.00
Space group C2/c (No. 15)
Inequivalent atoms, fractional coordinates:
Pb  0.0000  0.1371  0.2500 [4 per cell]
W  0.0000  0.4035  0.7500 [4 per cell]
O  0.1488  0.3001  0.6772 [8 per cell]
O  0.2081  0.4674  0.1791 [8 per cell]

[4]
Calculated X-ray powder pattern of Li4Mn2TeWO12 for Cu Kα (weighted mean of Kα1 and Kα2), from a cell relaxed with GGA+U.

Main lines, sorted by position (10° ≤ 2θ ≤ 90°):
two_theta  I (rel.)
21.26  25.8
24.23  100.0
33.74  36.8
35.32  24.1
49.65  18.5
54.90  26.7

Atomic structure:
Unit cell a=5.0822 b=5.3242 c=7.3600 alpha=86.33 beta=89.97 gamma=89.99
Space group P1 (No. 1)
Inequivalent atoms, fractional coordinates:
Li  0.0000  0.0000  0.0000 [1 per cell]
Li  0.0068  0.0041  0.4968 [1 per cell]
Li  0.4953  0.4971  0.9993 [1 per cell]
Li  0.5030  0.5026  0.4967 [1 per cell]
Mn  0.0021  0.5690  0.2834 [1 per cell]
Mn  0.5006  0.0702  0.7824 [1 per cell]
Te  0.9999  0.5713  0.7834 [1 per cell]
W  0.5023  0.0694  0.2829 [1 per cell]
O  0.1305  0.5938  0.5350 [1 per cell]
O  0.1857  0.8903  0.2345 [1 per cell]
O  0.1982  0.2724  0.8612 [1 per cell]
O  0.3025  0.7743  0.8587 [1 per cell]
O  0.3142  0.3919  0.2349 [1 per cell]
O  0.3863  0.0859  0.5384 [1 per cell]
O  0.6176  0.0870  0.0345 [1 per cell]
O  0.6781  0.3964  0.7281 [1 per cell]
O  0.6985  0.7697  0.3484 [1 per cell]
O  0.8093  0.2722  0.3475 [1 per cell]
O  0.8206  0.8959  0.7283 [1 per cell]
O  0.8732  0.5923  0.0354 [1 per cell]

[5]
Calculated X-ray powder pattern of Mn3Cr3O8 for Cu Kα (weighted mean of Kα1 and Kα2), from a cell relaxed with GGA+U.

Main lines, sorted by position (10° ≤ 2θ ≤ 90°):
two_theta  I (rel.)
29.30  31.7
34.50  100.0
41.91  21.4
55.39  28.5
60.68  23.1
60.85  23.2

Atomic structure:
Unit cell a=6.0890 b=6.0890 c=14.9719 alpha=90.00 beta=90.00 gamma=120.00
Space group R-3m (No. 166, hexagonal axes)
Inequivalent atoms, fractional coordinates:
Mn  0.0000  0.0000  0.0000 [3 per cell]
Mn  0.0000  0.0000  0.3753 [6 per cell]
Cr  0.0000  0.5000  0.5000 [9 per cell]
O  0.0000  0.0000  0.2363 [6 per cell]
O  0.0323  0.5161  0.7562 [18 per cell]

[6]
Calculated X-ray powder pattern of Li4Cu3Ni2Sb3O16 for Cu Kα (weighted mean of Kα1 and Kα2), from a cell relaxed with GGA+U.

Main lines, sorted by position (10° ≤ 2θ ≤ 90°):
two_theta  I (rel.)
18.25  100.0
19.13  66.8
35.30  32.5
35.41  29.7
35.61  32.2
61.35  40.5

Atomic structure:
Unit cell a=10.4666 b=6.0476 c=9.7240 alpha=90.00 beta=91.27 gamma=90.00
Space group Cm (No. 8)
Inequivalent atoms, fractional coordinates:
Li  0.0000  0.0000  0.0000 [2 per cell]
Li  0.0142  0.0000  0.5134 [2 per cell]
Li  0.1943  0.5000  0.8876 [2 per cell]
Li  0.3581  0.0000  0.4061 [2 per cell]
Cu  0.3583  0.5000  0.2275 [2 per cell]
Cu  0.4424  0.2470  0.7243 [4 per cell]
Ni  0.1963  0.5000  0.5119 [2 per cell]
Ni  0.3712  0.0000  0.9883 [2 per cell]
Sb  0.1113  0.2530  0.2237 [4 per cell]
Sb  0.1966  0.0000  0.7245 [2 per cell]
O  0.0073  0.5000  0.8391 [2 per cell]
O  0.0285  0.0000  0.8199 [2 per cell]
O  0.0354  0.0000  0.3297 [2 per cell]
O  0.0421  0.5000  0.3439 [2 per cell]
O  0.1090  0.2342  0.6083 [4 per cell]
O  0.1810  0.0000  0.1088 [2 per cell]
O  0.1833  0.5000  0.1082 [2 per cell]
O  0.2650  0.2739  0.3443 [4 per cell]
O  0.2857  0.2218  0.8481 [4 per cell]
O  0.3592  0.0000  0.6166 [2 per cell]
O  0.3655  0.5000  0.6157 [2 per cell]
O  0.4495  0.2585  0.1135 [4 per cell]

[7]
Calculated X-ray powder pattern of Mn2CuO4 for Cu Kα (weighted mean of Kα1 and Kα2), from a cell relaxed with GGA+U.

Main lines, sorted by position (10° ≤ 2θ ≤ 90°):
two_theta  I (rel.)
29.66  36.7
34.94  100.0
42.45  14.2
56.10  36.6
61.59  43.6
88.08  16.6

Atomic structure:
Unit cell a=8.5180 b=8.5180 c=8.5180 alpha=90.00 beta=90.00 gamma=90.00
Space group Fd-3m (No. 227, origin choice 2)
Inequivalent atoms, fractional coordinates:
Mn  0.0000  0.0000  0.0000 [16 per cell]
Cu  0.1250  0.1250  0.6250 [8 per cell]
O  0.0110  0.0110  0.2390 [32 per cell]

[8]
Calculated X-ray powder pattern of KLiMnO2 for Cu Kα (weighted mean of Kα1 and Kα2), from a cell relaxed with GGA+U.

Main lines, sorted by position (10° ≤ 2θ ≤ 90°):
two_theta  I (rel.)
18.84  50.0
19.76  54.9
32.37  50.6
32.62  80.6
33.57  100.0
44.32  76.3

Atomic structure:
Unit cell a=8.9878 b=9.1664 c=6.9353 alpha=90.00 beta=90.00 gamma=90.00
Space group Cccm (No. 66)
Inequivalent atoms, fractional coordinates:
K  0.0000  0.0000  0.2500 [4 per cell]
K  0.2500  0.2500  0.0000 [4 per cell]
Li  0.0000  0.3598  0.2500 [8 per cell]
Mn  0.2255  0.3922  0.5000 [8 per cell]
O  0.0675  0.2271  0.5000 [8 per cell]
O  0.1777  0.5000  0.2500 [8 per cell]

[9]
Calculated X-ray powder pattern of Li9Mn2Co5O16 for Cu Kα (weighted mean of Kα1 and Kα2), from a cell relaxed with GGA+U.

Main lines, sorted by position (10° ≤ 2θ ≤ 90°):
two_theta  I (rel.)
18.32  100.0
35.69  14.5
36.09  13.3
43.05  28.5
43.76  27.0
44.05  26.3

Atomic structure:
Unit cell a=5.1103 b=7.6799 c=7.7538 alpha=82.65 beta=83.54 gamma=71.88
Space group P1 (No. 1)
Inequivalent atoms, fractional coordinates:
Li  0.0000  0.0000  0.0000 [1 per cell]
Li  0.9999  0.4917  0.5090 [1 per cell]
Li  0.0007  0.2526  0.2484 [1 per cell]
Li  0.0030  0.6239  0.1294 [1 per cell]
Li  0.0041  0.7497  0.7478 [1 per cell]
Li  0.0079  0.3739  0.8677 [1 per cell]
Li  0.0097  0.8688  0.3785 [1 per cell]
Li  0.5028  0.4357  0.6879 [1 per cell]
Li  0.9940  0.1311  0.6261 [1 per cell]
Mn  0.4968  0.3126  0.0617 [1 per cell]
Mn  0.5137  0.8075  0.5635 [1 per cell]
Co  0.4950  0.0737  0.8103 [1 per cell]
Co  0.4999  0.5608  0.3214 [1 per cell]
Co  0.5035  0.1953  0.4437 [1 per cell]
Co  0.5030  0.6849  0.9346 [1 per cell]
Co  0.5035  0.9352  0.1873 [1 per cell]
O  0.2601  0.2673  0.6542 [1 per cell]
O  0.2635  0.1666  0.0280 [1 per cell]
O  0.2733  0.3975  0.2750 [1 per cell]
O  0.2779  0.5262  0.9239 [1 per cell]
O  0.2789  0.8988  0.7714 [1 per cell]
O  0.2804  0.7832  0.1605 [1 per cell]
O  0.2841  0.6596  0.5234 [1 per cell]
O  0.2970  0.0143  0.4055 [1 per cell]
O  0.7143  0.1008  0.2090 [1 per cell]
O  0.7223  0.4658  0.0997 [1 per cell]
O  0.7219  0.8447  0.9795 [1 per cell]
O  0.7262  0.2148  0.8587 [1 per cell]
O  0.7309  0.9692  0.5938 [1 per cell]
O  0.7345  0.6136  0.7158 [1 per cell]
O  0.7419  0.3335  0.4602 [1 per cell]
O  0.7440  0.7154  0.3601 [1 per cell]

[10]
Calculated X-ray powder pattern of NdMnFeBiO6 for Cu Kα (weighted mean of Kα1 and Kα2), from a cell relaxed with GGA+U.

Main lines, sorted by position (10° ≤ 2θ ≤ 90°):
two_theta  I (rel.)
19.20  34.3
25.51  39.5
26.55  39.6
30.84  100.0
31.08  27.5
33.05  28.7

Atomic structure:
Unit cell a=3.9703 b=7.4456 c=9.2829 alpha=90.00 beta=95.24 gamma=90.00
Space group P2_1 (No. 4)
Inequivalent atoms, fractional coordinates:
Nd  0.0061  0.0000  0.0227 [2 per cell]
Mn  0.4415  0.2317  0.7572 [2 per cell]
Fe  0.4681  0.7505  0.7943 [2 per cell]
Bi  0.2210  0.9710  0.4710 [2 per cell]
O  0.0287  0.2718  0.1658 [2 per cell]
O  0.0438  0.7493  0.2003 [2 per cell]
O  0.3909  0.2584  0.5148 [2 per cell]
O  0.4237  0.9816  0.7037 [2 per cell]
O  0.4709  0.5013  0.7396 [2 per cell]
O  0.4965  0.1725  0.9943 [2 per cell]